Calculated powder diffractogram
Compound: Pr2Ag3Rh
Radiation: Cu Kα (weighted mean of Kα1 and Kα2)
Structure: a structure optimized by DFT (PBE)
Intensities are scaled so that the largest is 100.

Atomic structure:
```
6
Lattice="3.6967 0.0000 0.0000 0.0000 4.7729 0.0000 0.0000 0.0000 8.1120" Properties=species:S:1:pos:R:3 pbc="T T T"
Pr 0.0000 0.0000 0.0000
Pr 0.0000 2.3865 3.5430
Ag 1.8483 0.0000 5.0695
Ag 1.8483 2.3865 0.9998
Ag 1.8483 2.3865 6.3959
Rh 1.8483 0.0000 2.3299
```

Most intense lines, 2θ from 10° to 90°, low angle first:
2θ 32.57, intensity 100, (1 1 1)
2θ 32.78, intensity 48, (1 0 2)
2θ 37.69, intensity 36, (0 2 0)
2θ 38.26, intensity 59, (0 1 3)
2θ 49.30, intensity 16, (2 0 0)
2θ 50.80, intensity 27, (1 2 2)
2θ 63.68, intensity 15, (2 2 0)
2θ 64.07, intensity 25, (2 1 3)
2θ 64.83, intensity 13, (1 3 1)
2θ 88.86, intensity 10, (2 3 3)